For Nd5SmHo, a cell relaxed with GGA-PBE gives the theoretical XRD peak list in this record (Cu Kα).
Neutral-atom scattering factors, no anomalous dispersion.

```
Nd5SmHo
1.0
5.922 0.000 0.000
0.000 8.791 0.000
0.000 0.000 12.149
Nd Sm Ho
10 2 2
direct
0.000 0.000 0.000
0.000 0.176 0.500
0.000 0.500 0.251
0.000 0.500 0.749
0.000 0.824 0.500
0.500 0.000 0.249
0.500 0.000 0.751
0.500 0.324 0.000
0.500 0.500 0.500
0.500 0.676 0.000
0.000 0.500 0.500
0.500 0.000 0.000
0.000 0.500 0.000
0.500 0.000 0.500
```

Peak list (6 most intense, 5 to 70 degrees two-theta, in order of rising 2θ)
| 2θ (°) | d [Å] | I (rel.) | index |
| --- | --- | --- | --- |
| 14.58 | 6.074 | 100 | 0 0 2 |
| 20.20 | 4.395 | 75 | 0 2 0 |
| 29.41 | 3.037 | 97 | 0 0 4 |
| 30.18 | 2.961 | 91 | 2 0 0 |
| 34.14 | 2.626 | 67 | 1 3 0 |
| 42.64 | 2.120 | 71 | 2 0 4 |